No. 1
For Sr2ScFeAsO3, a PBE+U-relaxed structure gives the theoretical powder X-ray diffraction pattern in this record (Cu Kα X-rays).

Top 8 peaks for 10° ≤ 2θ ≤ 90°, sorted by position:
30.63°, d = 2.918 Å, rel. 44.6, (1 1 0); 30.80°, d = 2.903 Å, rel. 100.0, (1 0 4); 34.88°, d = 2.572 Å, rel. 25.9, (1 1 3); 37.89°, d = 2.374 Å, rel. 25.0, (1 1 4); 39.66°, d = 2.273 Å, rel. 24.4, (1 0 6); 43.87°, d = 2.064 Å, rel. 53.6, (2 0 0); 54.56°, d = 1.682 Å, rel. 39.0, (2 1 4); 63.78°, d = 1.459 Å, rel. 16.3, (2 2 0)

Structural model:
```
data_Sr2ScFeAsO3
_space_group_name_H-M_alt 'P 4/n m m'
_space_group_IT_number 129
_cell_length_a 4.1272
_cell_length_b 4.1272
_cell_length_c 16.3353
_cell_angle_alpha 90.00
_cell_angle_beta 90.00
_cell_angle_gamma 90.00
loop_
_space_group_symop_operation_xyz
'x,y,z'
'-x,-y,-z'
'-y+1/2,x,z'
'y+1/2,-x,-z'
'-x+1/2,-y+1/2,z'
'x+1/2,y+1/2,-z'
'y,-x+1/2,z'
'-y,x+1/2,-z'
'x+1/2,-y,-z'
'-x+1/2,y,z'
'-y,-x,-z'
'y,x,z'
'-x,y+1/2,-z'
'x,-y+1/2,z'
'y+1/2,x+1/2,-z'
'-y+1/2,-x+1/2,z'
loop_
_atom_site_label
_atom_site_type_symbol
_atom_site_fract_x
_atom_site_fract_y
_atom_site_fract_z
_atom_site_occupancy
Sr1 Sr 0.2500 0.2500 0.0835 1
Sr2 Sr 0.2500 0.2500 0.3019 1
Sc1 Sc 0.2500 0.2500 0.8124 1
Fe1 Fe 0.2500 0.7500 0.5000 1
As1 As 0.2500 0.2500 0.5986 1
O1 O 0.2500 0.2500 0.9350 1
O2 O 0.2500 0.7500 0.2068 1
```

No. 2
For Sm2FeAs2O, a PBE+U-relaxed structure gives the theoretical powder X-ray diffraction pattern in this record (Cu Kα X-rays).

Top 8 peaks for 10° ≤ 2θ ≤ 90°, sorted by position:
23.47°, d = 3.791 Å, rel. 22.9, (0 0 4); 27.34°, d = 3.262 Å, rel. 100.0, (1 0 0); 36.34°, d = 2.472 Å, rel. 30.1, (1 0 4); 39.05°, d = 2.306 Å, rel. 38.2, (1 1 0); 45.40°, d = 1.998 Å, rel. 22.5, (1 0 6); 46.07°, d = 1.970 Å, rel. 15.7, (1 1 4); 53.81°, d = 1.704 Å, rel. 13.4, (1 1 6); 63.81°, d = 1.459 Å, rel. 17.4, (2 1 0)

Structural model:
```
data_Sm2FeAs2O
_space_group_name_H-M_alt 'P 4/m m m'
_space_group_IT_number 123
_space_group_name_Hall '-P 4 2'
_cell_length_a 3.2618
_cell_length_b 3.2618
_cell_length_c 15.1626
_cell_angle_alpha 90.00
_cell_angle_beta 90.00
_cell_angle_gamma 90.00
loop_
_atom_site_label
_atom_site_type_symbol
_atom_site_fract_x
_atom_site_fract_y
_atom_site_fract_z
_atom_site_occupancy
Sm1 Sm 0.0000 0.0000 0.1369 1
Fe1 Fe 0.0000 0.0000 0.5000 1
As1 As 0.0000 0.0000 0.3373 1
O1 O 0.0000 0.0000 0.0000 1
```

No. 3
For Sm2Fe2As2O, a PBE+U-relaxed structure gives the theoretical powder X-ray diffraction pattern in this record (Cu Kα X-rays).

Top 8 peaks for 10° ≤ 2θ ≤ 90°, sorted by position:
31.49°, d = 2.841 Å, rel. 100.0, (1 0 2); 31.70°, d = 2.823 Å, rel. 33.3, (1 1 0); 33.63°, d = 2.665 Å, rel. 21.7, (1 1 1); 38.91°, d = 2.315 Å, rel. 50.7, (1 1 2); 45.44°, d = 1.996 Å, rel. 41.5, (2 0 0); 50.60°, d = 1.804 Å, rel. 26.7, (1 0 4); 56.33°, d = 1.633 Å, rel. 38.1, (2 1 2); 70.34°, d = 1.338 Å, rel. 19.8, (2 1 4)

Structural model:
```
data_Sm2Fe2As2O
_space_group_name_H-M_alt 'P -4 m 2'
_space_group_IT_number 115
_cell_length_a 3.9922
_cell_length_b 3.9922
_cell_length_c 8.0878
_cell_angle_alpha 90.00
_cell_angle_beta 90.00
_cell_angle_gamma 90.00
loop_
_space_group_symop_operation_xyz
'x,y,z'
'y,-x,-z'
'-x,-y,z'
'-y,x,-z'
'-x,y,z'
'-y,-x,-z'
'x,-y,z'
'y,x,-z'
loop_
_atom_site_label
_atom_site_type_symbol
_atom_site_fract_x
_atom_site_fract_y
_atom_site_fract_z
_atom_site_occupancy
Sm1 Sm 0.0000 0.5000 0.1610 1
Fe1 Fe 0.0000 0.0000 0.5000 1
Fe2 Fe 0.5000 0.5000 0.5000 1
As1 As 0.0000 0.5000 0.6822 1
O1 O 0.5000 0.5000 0.0000 1
```

No. 4
For TbFeAsO, a PBE+U-relaxed structure gives the theoretical powder X-ray diffraction pattern in this record (Cu Kα X-rays).

Top 8 peaks for 10° ≤ 2θ ≤ 90°, sorted by position:
29.87°, d = 2.992 Å, rel. 100.0, (1 0 2); 31.87°, d = 2.808 Å, rel. 23.2, (1 1 0); 33.39°, d = 2.683 Å, rel. 25.9, (1 1 1); 37.31°, d = 2.410 Å, rel. 25.8, (1 0 3); 37.64°, d = 2.390 Å, rel. 17.3, (1 1 2); 45.69°, d = 1.986 Å, rel. 32.3, (2 0 0); 51.72°, d = 1.767 Å, rel. 25.6, (1 1 4); 55.55°, d = 1.654 Å, rel. 36.4, (2 1 2)

Structural model:
```
data_TbFeAsO
_space_group_name_H-M_alt 'P 4/n m m'
_space_group_IT_number 129
_cell_length_a 3.9716
_cell_length_b 3.9716
_cell_length_c 9.0965
_cell_angle_alpha 90.00
_cell_angle_beta 90.00
_cell_angle_gamma 90.00
loop_
_space_group_symop_operation_xyz
'x,y,z'
'-x,-y,-z'
'-y+1/2,x,z'
'y+1/2,-x,-z'
'-x+1/2,-y+1/2,z'
'x+1/2,y+1/2,-z'
'y,-x+1/2,z'
'-y,x+1/2,-z'
'x+1/2,-y,-z'
'-x+1/2,y,z'
'-y,-x,-z'
'y,x,z'
'-x,y+1/2,-z'
'x,-y+1/2,z'
'y+1/2,x+1/2,-z'
'-y+1/2,-x+1/2,z'
loop_
_atom_site_label
_atom_site_type_symbol
_atom_site_fract_x
_atom_site_fract_y
_atom_site_fract_z
_atom_site_occupancy
Tb1 Tb 0.2500 0.2500 0.1212 1
Fe1 Fe 0.2500 0.7500 0.5000 1
As1 As 0.2500 0.2500 0.6855 1
O1 O 0.2500 0.7500 0.0000 1
```

No. 5
For Zn3Fe3As4O16, a PBE+U-relaxed structure gives the theoretical powder X-ray diffraction pattern in this record (Cu Kα X-rays).

Top 8 peaks for 10° ≤ 2θ ≤ 90°, sorted by position:
22.03°, d = 4.035 Å, rel. 35.7, (2 0 0); 24.04°, d = 3.701 Å, rel. 33.6, (1 1 -3); 26.75°, d = 3.333 Å, rel. 100.0, (2 1 -1); 29.33°, d = 3.045 Å, rel. 93.5, (1 1 3); 32.42°, d = 2.762 Å, rel. 57.2, (1 1 -5); 33.93°, d = 2.642 Å, rel. 64.7, (0 2 0); 36.05°, d = 2.491 Å, rel. 79.2, (3 1 -3); 57.76°, d = 1.596 Å, rel. 30.1, (1 0 -10)

Structural model:
```
data_Zn3Fe3As4O16
_space_group_name_H-M_alt 'P 1 21/c 1'
_space_group_IT_number 14
_cell_length_a 8.6265
_cell_length_b 5.2846
_cell_length_c 16.1991
_cell_angle_alpha 90.00
_cell_angle_beta 110.75
_cell_angle_gamma 90.00
loop_
_space_group_symop_operation_xyz
'x,y,z'
'-x,-y,-z'
'-x,y+1/2,-z+1/2'
'x,-y+1/2,z+1/2'
loop_
_atom_site_label
_atom_site_type_symbol
_atom_site_fract_x
_atom_site_fract_y
_atom_site_fract_z
_atom_site_occupancy
Zn1 Zn 0.0000 0.0000 0.0000 1
Zn2 Zn 0.3080 0.0602 0.2848 1
Fe1 Fe 0.1992 0.5042 0.3754 1
Fe2 Fe 0.5000 0.0000 0.5000 1
As1 As 0.0310 0.0214 0.6481 1
As2 As 0.4150 0.5047 0.6057 1
O1 O 0.0097 0.7007 0.6277 1
O2 O 0.0814 0.1893 0.5726 1
O3 O 0.1614 0.6154 0.8460 1
O4 O 0.1821 0.0989 0.7490 1
O5 O 0.2481 0.5702 0.5116 1
O6 O 0.3926 0.5910 0.7012 1
O7 O 0.4283 0.2143 0.9023 1
O8 O 0.4997 0.2104 0.6047 1
```

No. 6
For ZnFeAs2O7, a PBE+U-relaxed structure gives the theoretical powder X-ray diffraction pattern in this record (Cu Kα X-rays).

Top 8 peaks for 10° ≤ 2θ ≤ 90°, sorted by position:
20.18°, d = 4.399 Å, rel. 8.1, (0 2 0); 27.80°, d = 3.210 Å, rel. 100.0, (1 2 -2); 28.23°, d = 3.161 Å, rel. 41.2, (1 0 2); 33.32°, d = 2.689 Å, rel. 8.3, (1 3 0); 33.51°, d = 2.674 Å, rel. 18.8, (2 2 0); 45.78°, d = 1.982 Å, rel. 11.4, (0 2 4); 54.55°, d = 1.682 Å, rel. 16.1, (3 3 -4); 65.57°, d = 1.424 Å, rel. 10.1, (4 1 -6)

Structural model:
```
data_ZnFeAs2O7
_space_group_name_H-M_alt 'P 1 21/c 1'
_space_group_IT_number 14
_cell_length_a 7.3802
_cell_length_b 8.7987
_cell_length_c 9.7355
_cell_angle_alpha 90.00
_cell_angle_beta 114.14
_cell_angle_gamma 90.00
loop_
_space_group_symop_operation_xyz
'x,y,z'
'-x,-y,-z'
'-x,y+1/2,-z+1/2'
'x,-y+1/2,z+1/2'
loop_
_atom_site_label
_atom_site_type_symbol
_atom_site_fract_x
_atom_site_fract_y
_atom_site_fract_z
_atom_site_occupancy
Zn1 Zn 0.2195 0.0810 0.1117 1
Fe1 Fe 0.3149 0.0547 0.6833 1
As1 As 0.0686 0.7267 0.7465 1
As2 As 0.4859 0.7237 0.0408 1
O1 O 0.0339 0.5945 0.6076 1
O2 O 0.1338 0.2358 0.7104 1
O3 O 0.1410 0.6017 0.2149 1
O4 O 0.2524 0.6476 0.9148 1
O5 O 0.3574 0.2292 0.5505 1
O6 O 0.4536 0.6040 0.6067 1
O7 O 0.4613 0.0815 0.3272 1
```